(1)
Diffraction record for LiCoPt2. The powder XRD pattern is calculated, not measured: it uses a structure optimized by DFT (PBE) and Cu Kα, 1.54184 Å.
Lines closer than 0.1° are merged.

Atomic structure:
abc: 4.262 4.262 4.262
angles: 60.00 60.00 60.00
Element x y z (fractional)
Li (0.000, 0.000, 0.000)
Co (0.250, 0.250, 0.250)
Pt (0.500, 0.500, 0.500)
Pt (0.750, 0.750, 0.750)

Main lines, sorted by position (2θ = 10–90°):
d/Å, 2theta, I/Imax
3.480, 25.6, 63
2.131, 42.4, 100
1.817, 50.2, 32
1.507, 61.5, 17
1.383, 67.8, 13
1.230, 77.6, 34

***

(2)
Diffraction record for LiCo3Sb5. The powder XRD pattern is calculated, not measured: it uses a structure optimized by DFT (PBE) and Cu Kα, 1.54184 Å.
Lines closer than 0.1° are merged.

Atomic structure:
abc: 5.287 5.287 8.053
angles: 90.00 90.00 120.00
Element x y z (fractional)
Li (0.000, 0.000, 0.000)
Co (0.000, 0.500, 0.500)
Co (0.500, 0.000, 0.500)
Co (0.500, 0.500, 0.500)
Sb (0.000, 0.000, 0.500)
Sb (0.333, 0.667, 0.234)
Sb (0.333, 0.667, 0.766)
Sb (0.667, 0.333, 0.234)
Sb (0.667, 0.333, 0.766)

Main lines, sorted by position (2θ = 10–90°):
d/Å, 2theta, I/Imax
8.053, 11.0, 100
4.579, 19.4, 40
3.024, 29.5, 80
2.644, 33.9, 92
2.210, 40.8, 62
1.990, 45.6, 80

***

(3)
Diffraction record for LiCo3Se5. The powder XRD pattern is calculated, not measured: it uses a structure optimized by DFT (PBE) and Cu Kα, 1.54184 Å.
Lines closer than 0.1° are merged.

Atomic structure:
abc: 5.511 5.511 6.786
angles: 90.00 90.00 120.00
Element x y z (fractional)
Li (0.000, 0.000, 0.000)
Co (0.000, 0.500, 0.500)
Co (0.500, 0.000, 0.500)
Co (0.500, 0.500, 0.500)
Se (0.000, 0.000, 0.500)
Se (0.333, 0.667, 0.247)
Se (0.333, 0.667, 0.753)
Se (0.667, 0.333, 0.247)
Se (0.667, 0.333, 0.753)

Main lines, sorted by position (2θ = 10–90°):
d/Å, 2theta, I/Imax
6.786, 13.0, 100
4.773, 18.6, 39
2.756, 32.5, 58
2.251, 40.1, 39
2.139, 42.3, 42
1.952, 46.5, 66

***

(4)
Diffraction record for LiCo3Si5. The powder XRD pattern is calculated, not measured: it uses a structure optimized by DFT (PBE) and Cu Kα, 1.54184 Å.
Lines closer than 0.1° are merged.

Atomic structure:
abc: 4.845 4.845 5.982
angles: 90.00 90.00 120.00
Element x y z (fractional)
Li (0.000, 0.000, 0.000)
Co (0.000, 0.500, 0.500)
Co (0.500, 0.000, 0.500)
Co (0.500, 0.500, 0.500)
Si (0.000, 0.000, 0.500)
Si (0.333, 0.667, 0.194)
Si (0.333, 0.667, 0.806)
Si (0.667, 0.333, 0.194)
Si (0.667, 0.333, 0.806)

Main lines, sorted by position (2θ = 10–90°):
d/Å, 2theta, I/Imax
5.982, 14.8, 100
4.196, 21.2, 34
2.098, 43.1, 18
1.994, 45.5, 18
1.980, 45.8, 58
1.718, 53.3, 47

***

(5)
Diffraction record for LiCo3Sn5. The powder XRD pattern is calculated, not measured: it uses a structure optimized by DFT (PBE) and Cu Kα, 1.54184 Å.
Lines closer than 0.1° are merged.

Atomic structure:
abc: 5.236 5.236 7.543
angles: 90.00 90.00 120.00
Element x y z (fractional)
Li (0.000, 0.000, 0.000)
Co (0.000, 0.500, 0.500)
Co (0.500, 0.000, 0.500)
Co (0.500, 0.500, 0.500)
Sn (0.000, 0.000, 0.500)
Sn (0.333, 0.667, 0.214)
Sn (0.333, 0.667, 0.786)
Sn (0.667, 0.333, 0.214)
Sn (0.667, 0.333, 0.786)

Main lines, sorted by position (2θ = 10–90°):
d/Å, 2theta, I/Imax
7.543, 11.7, 56
2.900, 30.8, 69
2.618, 34.3, 100
2.171, 41.6, 49
2.151, 42.0, 53
1.943, 46.8, 78

***

(6)
Diffraction record for LiZrCoSn. The powder XRD pattern is calculated, not measured: it uses a structure optimized by DFT (PBE) and Cu Kα, 1.54184 Å.
Lines closer than 0.1° are merged.

Atomic structure:
abc: 4.439 4.439 6.279
angles: 90.00 90.00 90.00
Element x y z (fractional)
Li (0.000, 0.500, 0.250)
Li (0.500, 0.000, 0.750)
Zr (0.000, 0.000, 0.000)
Zr (0.500, 0.500, 0.500)
Co (0.000, 0.500, 0.748)
Co (0.500, 0.000, 0.252)
Sn (0.000, 0.000, 0.500)
Sn (0.500, 0.500, 0.000)

Main lines, sorted by position (2θ = 10–90°):
d/Å, 2theta, I/Imax
3.625, 24.6, 13
3.139, 28.4, 35
2.220, 40.6, 100
1.570, 58.8, 17
1.404, 66.6, 14
1.282, 74.0, 34

***

Number 6 is which compound?
LiZrCoSn

***

Number 2 is which compound?
LiCo3Sb5